YHfTl2Si: computed XRD peak list (Cu Ka), based on a DFT-relaxed cell (PBE, Alexandria).
No peak broadening, texture or thermal motion is included.

a = 5.603 Å, b = 5.603 Å, c = 5.171 Å
α = 90.00°, β = 90.00°, γ = 90.00°
Fractional positions:
Y (0.000, 0.000, 0.000)
Hf (0.500, 0.500, 0.500)
Tl (0.000, 0.500, 0.000)
Tl (0.500, 0.000, 0.000)
Si (0.000, 0.000, 0.500)

Largest 12 diffraction maxima, in order of falling intensity, 2θ from 15° to 90°:
2θ 28.38, rel. 100, (1 1 1); 2θ 31.95, rel. 68, (2 0 0); 2θ 47.88, rel. 44, (2 0 2); 2θ 23.41, rel. 35, (1 0 1); 2θ 54.77, rel. 33, (3 1 1); 2θ 34.70, rel. 27, (0 0 2); 2θ 17.15, rel. 25, (0 0 1); 2θ 45.81, rel. 25, (2 2 0); 2θ 58.72, rel. 24, (2 2 2); 2θ 39.98, rel. 17, (2 1 1); 2θ 86.28, rel. 17, (4 2 2); 2θ 36.48, rel. 16, (2 0 1)